Record 1
Diffraction record for Bi3B6O14. The XRD peak list is theoretical, not measured: it uses a cell relaxed with GGA-PBE and copper Kα.
Intensities are scaled so that the largest is 100.

Cell: 6.640 6.670 6.712 Å, 60.33 88.69 89.36°
Element x y z (fractional)
Bi (0.000, 0.000, 0.000)
Bi (0.267, 0.590, 0.591)
Bi (0.590, 0.413, 0.113)
B (0.133, 0.437, 0.167)
B (0.327, 0.149, 0.551)
B (0.460, 0.016, 0.971)
B (0.654, 0.931, 0.684)
B (0.844, 0.644, 0.608)
B (0.994, 0.031, 0.467)
O (0.002, 0.630, 0.109)
O (0.192, 0.971, 0.568)
O (0.272, 0.384, 0.366)
O (0.277, 0.464, 0.981)
O (0.316, 0.893, 0.160)
O (0.323, 0.171, 0.763)
O (0.529, 0.096, 0.501)
O (0.574, 0.861, 0.912)
O (0.608, 0.146, 0.017)
O (0.664, 0.685, 0.691)
O (0.856, 0.024, 0.645)
O (0.939, 0.837, 0.422)
O (0.952, 0.448, 0.701)
O (0.993, 0.236, 0.239)

Largest 10 diffraction maxima, by angle, 15° ≤ 2θ ≤ 90°:
hkl  2θ/deg  I/Imax
1 0 1  20.11  72
1 1 0  20.34  89
-1 1 1  20.55  100
0 1 2  26.54  55
0 2 1  26.73  53
1 1 2  29.59  44
0 0 2  30.69  71
2 1 1  30.83  48
2 0 -1  31.27  43
1 3 2  43.47  52

***

Record 2
Diffraction record for VSb3. The XRD peak list is theoretical, not measured: it uses a cell relaxed with GGA-PBE and copper Kα.
Intensities are scaled so that the largest is 100.

Cell: 3.557 8.894 5.841 Å, 90.00 90.00 90.00°
Element x y z (fractional)
V (0.000, 0.000, 0.000)
V (0.500, 0.500, 0.500)
Sb (0.000, 0.310, 0.761)
Sb (0.000, 0.500, 0.159)
Sb (0.000, 0.690, 0.761)
Sb (0.500, 0.000, 0.659)
Sb (0.500, 0.190, 0.261)
Sb (0.500, 0.810, 0.261)

Largest 10 diffraction maxima, by angle, 15° ≤ 2θ ≤ 90°:
hkl  2θ/deg  I/Imax
1 1 0  27.00  31
1 0 1  29.40  36
0 0 2  30.61  28
0 3 1  33.91  68
1 2 1  35.80  100
0 2 2  36.82  26
1 1 2  41.27  35
1 3 2  50.86  23
2 3 1  63.00  22
1 5 2  66.98  20